(1)
# UTl2HgS4
Calculated XRD peak list, Cu Kα X-rays. Input: a DFT-relaxed cell (PBE, Alexandria).

Structure:
```
8
Lattice="7.8136 0.0000 0.0000 0.0000 4.0554 0.0000 -0.0737 0.0000 7.8985" Properties=species:S:1:pos:R:3 pbc="T T T"
U 0.0000 0.0000 0.0000
Tl -0.0368 0.0000 3.9493
Tl 3.9068 2.0277 0.0000
Hg 3.8700 2.0277 3.9493
S 0.9871 2.0277 1.3942
S 1.9064 0.0000 6.4761
S 5.8336 0.0000 1.4224
S 6.7529 2.0277 6.5043
```

Principal peaks in the range 5 to 70 degrees two-theta, by angle:
| 2θ/deg | intensity |
| --- | --- |
| 22.5 | 56.3 |
| 22.8 | 57.1 |
| 24.7 | 100.0 |
| 32.1 | 37.1 |
| 32.4 | 28.1 |
| 33.6 | 44.9 |
| 33.8 | 67.8 |
| 41.2 | 34.2 |
| 47.3 | 19.9 |
| 52.8 | 19.3 |

***

(2)
# UHgS3
Calculated XRD peak list, Cu Kα X-rays. Input: a DFT-relaxed cell (PBE, Alexandria).

Structure:
```
10
Lattice="5.3339 0.0000 0.0000 2.2339 6.6669 0.0000 0.4453 2.1642 7.9855" Properties=species:S:1:pos:R:3 pbc="T T T"
U 1.2688 2.4247 3.9539
U 6.7443 6.4064 4.0316
Hg 3.4418 6.3595 7.3655
Hg 4.5713 2.4716 0.6200
S 1.4857 4.3618 5.6293
S 0.6731 0.8562 1.8313
S 4.1727 6.3981 4.3189
S 3.8404 2.4331 3.6666
S 7.3400 7.9749 6.1542
S 6.5274 4.4694 2.3562
```

Principal peaks in the range 5 to 70 degrees two-theta, by angle:
| 2θ/deg | intensity |
| --- | --- |
| 15.3 | 100.0 |
| 20.1 | 38.4 |
| 20.5 | 64.9 |
| 22.3 | 63.5 |
| 23.2 | 57.9 |
| 27.8 | 63.3 |
| 29.7 | 47.2 |
| 31.3 | 63.5 |
| 37.7 | 36.7 |
| 40.3 | 33.8 |

***

(3)
# V5HgS8
Calculated XRD peak list, Cu Kα X-rays. Input: a DFT-relaxed cell (PBE, Alexandria).

Structure:
```
14
Lattice="8.8047 -1.6095 0.0000 8.8047 1.6095 0.0000 -2.0969 0.0000 8.2632" Properties=species:S:1:pos:R:3 pbc="T T T"
V 0.0000 0.0000 0.0000
V 3.7500 0.0000 5.3004
V 6.2147 0.0000 0.0029
V 9.2979 0.0000 8.2603
V 11.7626 0.0000 2.9628
Hg 7.7563 0.0000 4.1316
S -0.2207 0.0000 6.7860
S 1.7931 0.0000 4.1613
S 3.9109 0.0000 1.3183
S 5.8001 0.0000 6.7524
S 9.7125 0.0000 1.5108
S 11.6016 0.0000 6.9449
S 13.7195 0.0000 4.1018
S 15.7333 0.0000 1.4772
```

Principal peaks in the range 5 to 70 degrees two-theta, by angle:
| 2θ/deg | intensity |
| --- | --- |
| 20.9 | 67.2 |
| 21.5 | 77.5 |
| 30.7 | 40.3 |
| 32.5 | 44.8 |
| 33.6 | 50.0 |
| 35.0 | 100.0 |
| 36.5 | 81.1 |
| 42.8 | 38.7 |
| 43.2 | 76.8 |
| 54.9 | 47.9 |

***

(4)
# VHgS
Calculated XRD peak list, Cu Kα X-rays. Input: a DFT-relaxed cell (PBE, Alexandria).

Structure:
```
3
Lattice="1.6585 0.9575 6.1466 -1.6585 0.9575 6.1466 0.0000 -1.9150 6.1466" Properties=species:S:1:pos:R:3 pbc="T T T"
V 0.0000 0.0000 0.0000
Hg 0.0000 0.0000 10.1429
S 0.0000 0.0000 7.4380
```

Principal peaks in the range 5 to 70 degrees two-theta, by angle:
| 2θ/deg | intensity |
| --- | --- |
| 14.4 | 72.5 |
| 29.1 | 34.5 |
| 31.5 | 56.5 |
| 32.7 | 100.0 |
| 36.9 | 45.5 |
| 39.8 | 46.5 |
| 46.8 | 44.2 |
| 50.8 | 17.4 |
| 55.4 | 30.3 |
| 63.8 | 22.8 |

***

(5)
# VHgS2
Calculated XRD peak list, Cu Kα X-rays. Input: a DFT-relaxed cell (PBE, Alexandria).

Structure:
```
8
Lattice="3.1924 0.0000 0.0000 0.0000 5.5764 0.0000 -0.0673 0.0000 9.1896" Properties=species:S:1:pos:R:3 pbc="T T T"
V 0.7294 0.0000 9.1895
V 2.3957 2.7882 0.0001
Hg 0.0816 3.8272 4.6082
Hg 3.0435 1.0390 4.5814
S 0.7356 3.7198 7.7234
S 0.8039 3.7200 1.4674
S 2.3212 0.9318 7.7222
S 2.3895 0.9316 1.4662
```

Principal peaks in the range 5 to 70 degrees two-theta, by angle:
| 2θ/deg | intensity |
| --- | --- |
| 9.6 | 94.4 |
| 19.3 | 100.0 |
| 27.9 | 31.9 |
| 29.2 | 35.6 |
| 29.6 | 28.1 |
| 29.7 | 27.5 |
| 32.1 | 33.1 |
| 33.6 | 44.7 |
| 43.9 | 53.1 |
| 44.2 | 48.2 |

***

(6)
# HgWS2
Calculated XRD peak list, Cu Kα X-rays. Input: a DFT-relaxed cell (PBE, Alexandria).

Structure:
```
4
Lattice="2.7870 -1.6088 0.0000 2.7870 1.6088 0.0000 -0.0145 0.0000 9.9056" Properties=species:S:1:pos:R:3 pbc="T T T"
Hg 0.0000 0.0000 0.0000
W -0.0072 0.0000 4.9528
S 1.8510 0.0000 3.3729
S 3.7085 0.0000 6.5326
```

Principal peaks in the range 5 to 70 degrees two-theta, by angle:
| 2θ/deg | intensity |
| --- | --- |
| 17.9 | 76.6 |
| 32.1 | 55.4 |
| 36.3 | 12.7 |
| 37.0 | 100.0 |
| 49.2 | 46.1 |
| 57.3 | 17.7 |
| 60.5 | 19.5 |
| 65.7 | 15.0 |
| 67.2 | 7.0 |
| 69.7 | 12.0 |

***

(7)
# Zn2HgS3
Calculated XRD peak list, Cu Kα X-rays. Input: a DFT-relaxed cell (PBE, Alexandria).

Structure:
```
24
Lattice="0.0000 11.9461 5.5927 3.9805 0.0000 5.5927 3.9805 11.9461 0.0000" Properties=species:S:1:pos:R:3 pbc="T T T"
Zn 0.0000 0.0000 0.0000
Zn 1.9872 2.0298 2.7932
Zn 3.9775 3.9433 5.5896
Zn 1.9903 5.9731 2.7964
Zn 1.9933 9.9163 2.7932
Zn 3.9805 11.9461 5.5898
Zn 5.9708 17.9192 8.3861
Zn 3.9836 19.9490 5.5896
Hg 4.0058 7.8722 5.5833
Hg 5.9456 13.8453 8.3797
Hg 3.9553 16.0200 5.5833
Hg 5.9960 21.9931 8.3797
S 1.8526 4.0037 1.4790
S 3.9908 5.7758 4.0878
S 2.1279 7.9424 1.4790
S 3.8552 10.0533 4.2132
S 5.9605 11.7488 6.8841
S 4.1059 13.8390 4.2132
S 6.0962 16.0263 7.0096
S 3.9702 18.1165 4.0878
S 5.8454 19.8120 7.0096
S 4.1182 9.9768 9.8681
S 2.0006 12.1434 6.8841
S 3.8429 13.9155 9.8681
```

Principal peaks in the range 5 to 70 degrees two-theta, by angle:
| 2θ/deg | intensity |
| --- | --- |
| 17.6 | 14.6 |
| 27.5 | 100.0 |
| 28.7 | 6.7 |
| 31.8 | 16.1 |
| 32.0 | 8.0 |
| 36.6 | 7.0 |
| 45.6 | 18.2 |
| 45.7 | 36.8 |
| 54.1 | 29.1 |
| 54.3 | 14.8 |

***

(8)
# ZnHg2S3
Calculated XRD peak list, Cu Kα X-rays. Input: a DFT-relaxed cell (PBE, Alexandria).

Structure:
```
6
Lattice="4.0946 0.0000 0.0000 -2.0473 3.5461 0.0000 0.0000 0.0000 10.1538" Properties=species:S:1:pos:R:3 pbc="T T T"
Zn 0.0000 0.0000 0.0000
Hg 0.0000 2.3640 6.9158
Hg 2.0473 1.1820 3.3417
S 0.0000 0.0000 2.3431
S 0.0000 2.3640 9.4857
S 2.0473 1.1820 5.8966
```

Principal peaks in the range 5 to 70 degrees two-theta, by angle:
| 2θ/deg | intensity |
| --- | --- |
| 8.7 | 14.8 |
| 26.3 | 28.9 |
| 26.6 | 100.0 |
| 30.8 | 39.5 |
| 43.9 | 36.6 |
| 44.2 | 32.6 |
| 51.9 | 14.5 |
| 52.2 | 27.0 |
| 52.4 | 15.8 |
| 64.1 | 11.8 |

***

Repeat the third record exactly.
# V5HgS8
Calculated XRD peak list, Cu Kα X-rays. Input: a DFT-relaxed cell (PBE, Alexandria).

Structure:
```
14
Lattice="8.8047 -1.6095 0.0000 8.8047 1.6095 0.0000 -2.0969 0.0000 8.2632" Properties=species:S:1:pos:R:3 pbc="T T T"
V 0.0000 0.0000 0.0000
V 3.7500 0.0000 5.3004
V 6.2147 0.0000 0.0029
V 9.2979 0.0000 8.2603
V 11.7626 0.0000 2.9628
Hg 7.7563 0.0000 4.1316
S -0.2207 0.0000 6.7860
S 1.7931 0.0000 4.1613
S 3.9109 0.0000 1.3183
S 5.8001 0.0000 6.7524
S 9.7125 0.0000 1.5108
S 11.6016 0.0000 6.9449
S 13.7195 0.0000 4.1018
S 15.7333 0.0000 1.4772
```

Principal peaks in the range 5 to 70 degrees two-theta, by angle:
| 2θ/deg | intensity |
| --- | --- |
| 20.9 | 67.2 |
| 21.5 | 77.5 |
| 30.7 | 40.3 |
| 32.5 | 44.8 |
| 33.6 | 50.0 |
| 35.0 | 100.0 |
| 36.5 | 81.1 |
| 42.8 | 38.7 |
| 43.2 | 76.8 |
| 54.9 | 47.9 |